For MgV8O8F8, the GGA+U geometry in the Materials Project gives the calculated X-ray powder pattern in this record (λ = 1.5418 Å (Cu Kα)).
Kinematic intensities with the Lorentz-polarization factor, no thermal factor.

Structure:
```
data_MgV8O8F8
_symmetry_space_group_name_H-M 'P 1'
_symmetry_Int_Tables_number 1
_cell_length_a 4.872
_cell_length_b 5.717
_cell_length_c 10.490
_cell_angle_alpha 84.26
_cell_angle_beta 89.59
_cell_angle_gamma 89.28
loop_
_symmetry_equiv_pos_as_xyz
'x,y,z'
loop_
_atom_site_label
_atom_site_type_symbol
_atom_site_fract_x
_atom_site_fract_y
_atom_site_fract_z
_atom_site_occupancy
Mg1 Mg 0.000 0.000 0.000 1
V1 V 0.009 0.579 0.126 1
V2 V 0.023 0.878 0.365 1
V3 V 0.484 0.650 0.610 1
V4 V 0.490 0.904 0.857 1
V5 V 0.517 0.107 0.154 1
V6 V 0.519 0.372 0.398 1
V7 V 0.987 0.426 0.881 1
V8 V 0.991 0.133 0.640 1
O1 O 0.158 0.700 0.947 1
O2 O 0.171 0.914 0.185 1
O3 O 0.303 0.656 0.437 1
O4 O 0.311 0.918 0.681 1
O5 O 0.689 0.093 0.315 1
O6 O 0.695 0.362 0.561 1
O7 O 0.818 0.299 0.053 1
O8 O 0.848 0.113 0.816 1
F1 F 0.181 0.161 0.453 1
F2 F 0.190 0.428 0.702 1
F3 F 0.326 0.191 0.956 1
F4 F 0.336 0.399 0.214 1
F5 F 0.669 0.823 0.057 1
F6 F 0.673 0.610 0.792 1
F7 F 0.815 0.856 0.548 1
F8 F 0.819 0.589 0.305 1
```

Peak list (6 most intense, 2θ from 10° to 90°, low angle first)
25.97 deg, 3.430 Å, rel. 100, (1 1 -1)
26.17 deg, 3.405 Å, rel. 92, (1 -1 1)
34.02 deg, 2.635 Å, rel. 25, (1 1 3)
34.38 deg, 2.608 Å, rel. 73, (0 2 2)
51.44 deg, 1.776 Å, rel. 32, (1 3 1)
51.67 deg, 1.769 Å, rel. 46, (1 1 -5)

For Hg2W2O7, the GGA+U geometry in the Materials Project gives the calculated X-ray powder pattern in this record (λ = 1.5418 Å (Cu Kα)).
Kinematic intensities with the Lorentz-polarization factor, no thermal factor.

Structure:
```
data_Hg2W2O7
_symmetry_space_group_name_H-M 'P 1 2/c 1'
_symmetry_Int_Tables_number 13
_cell_length_a 6.290
_cell_length_b 3.875
_cell_length_c 14.886
_cell_angle_alpha 90.00
_cell_angle_beta 105.25
_cell_angle_gamma 90.00
loop_
_symmetry_equiv_pos_as_xyz
'x,y,z'
'-x,-y,-z'
'-x,y,-z+1/2'
'x,-y,z+1/2'
loop_
_atom_site_label
_atom_site_type_symbol
_atom_site_fract_x
_atom_site_fract_y
_atom_site_fract_z
_atom_site_occupancy
Hg1 Hg 0.147 0.171 0.062 1
W1 W 0.311 0.485 0.812 1
O1 O 0.000 0.487 0.250 1
O2 O 0.296 0.496 0.429 1
O3 O 0.311 0.001 0.800 1
O4 O 0.364 0.490 0.169 1
```

Peak list (6 most intense, 2θ from 10° to 90°, low angle first)
25.28 deg, 3.523 Å, rel. 100, (1 0 -4)
26.13 deg, 3.410 Å, rel. 60, (0 1 2)
28.77 deg, 3.103 Å, rel. 49, (2 0 -2)
32.13 deg, 2.786 Å, rel. 46, (1 0 4)
49.99 deg, 1.824 Å, rel. 54, (3 0 2)
50.88 deg, 1.795 Å, rel. 68, (0 0 8)

For CaCo4O8, the GGA+U geometry in the Materials Project gives the calculated X-ray powder pattern in this record (λ = 1.5418 Å (Cu Kα)).
Kinematic intensities with the Lorentz-polarization factor, no thermal factor.

Structure:
```
data_CaCo4O8
_symmetry_space_group_name_H-M 'R -3 m'
_symmetry_Int_Tables_number 166
_symmetry_space_group_name_Hall '-R 3 2"'
_cell_length_a 5.6401
_cell_length_b 5.6401
_cell_length_c 16.4744
_cell_angle_alpha 90.00
_cell_angle_beta 90.00
_cell_angle_gamma 120.00
loop_
_atom_site_label
_atom_site_type_symbol
_atom_site_fract_x
_atom_site_fract_y
_atom_site_fract_z
_atom_site_occupancy
Ca1 Ca 0.0000 0.0000 0.0000 1
Co1 Co 0.0000 0.0000 0.5000 1
Co2 Co 0.0000 0.5000 0.5000 1
O1 O 0.0000 0.0000 0.2228 1
O2 O 0.0019 0.5010 0.7737 1
```

Peak list (6 most intense, 2θ from 10° to 90°, low angle first)
16.14 deg, 5.491 Å, rel. 100, (0 0 3)
37.22 deg, 2.416 Å, rel. 17, (0 2 1)
43.06 deg, 2.101 Å, rel. 49, (0 2 4)
54.12 deg, 1.695 Å, rel. 15, (0 2 7)
58.64 deg, 1.574 Å, rel. 13, (2 0 8)
68.73 deg, 1.366 Å, rel. 15, (0 2 10)

For SrSmNiO4, the GGA+U geometry in the Materials Project gives the calculated X-ray powder pattern in this record (λ = 1.5418 Å (Cu Kα)).
Kinematic intensities with the Lorentz-polarization factor, no thermal factor.

Structure:
```
data_SrSmNiO4
_symmetry_space_group_name_H-M 'I 4 m m'
_symmetry_Int_Tables_number 107
_symmetry_space_group_name_Hall 'I 4 -2'
_cell_length_a 3.812
_cell_length_b 3.812
_cell_length_c 12.308
_cell_angle_alpha 90.00
_cell_angle_beta 90.00
_cell_angle_gamma 90.00
loop_
_atom_site_label
_atom_site_type_symbol
_atom_site_fract_x
_atom_site_fract_y
_atom_site_fract_z
_atom_site_occupancy
Sr1 Sr 0.000 0.000 0.000 1
Sm1 Sm 0.000 0.000 0.721 1
Ni1 Ni 0.000 0.000 0.361 1
O1 O 0.000 0.000 0.195 1
O2 O 0.000 0.000 0.533 1
O3 O 0.000 0.500 0.348 1
```

Peak list (6 most intense, 2θ from 10° to 90°, low angle first)
24.45 deg, 3.641 Å, rel. 24, (1 0 1)
32.05 deg, 2.792 Å, rel. 100, (1 0 3)
33.24 deg, 2.695 Å, rel. 72, (1 1 0)
44.70 deg, 2.027 Å, rel. 28, (1 1 4)
47.72 deg, 1.906 Å, rel. 37, (2 0 0)
58.65 deg, 1.574 Å, rel. 37, (2 1 3)